# Na4Ti11O24
Simulated powder diffraction line list, Cu Kα X-rays. Input: a DFT-relaxed cell (PBE, the Materials Project).
Peak positions follow from Bragg's law for the DFT cell and can differ from measured ones.

Structure:
Unit cell a=10.503 b=10.503 c=6.155 alpha=106.04 beta=106.04 gamma=119.97
Sites, in units of the cell vectors:
Na1 0.000 0.000 0.000
Na2 0.349 0.673 0.041
Na3 0.383 0.383 0.146
Na4 0.673 0.349 0.041
Ti1 0.053 0.216 0.629
Ti2 0.054 0.715 0.151
Ti3 0.054 0.716 0.644
Ti4 0.216 0.053 0.629
Ti5 0.382 0.884 0.646
Ti6 0.385 0.385 0.641
Ti7 0.553 0.714 0.665
Ti8 0.714 0.553 0.665
Ti9 0.715 0.054 0.151
Ti10 0.716 0.054 0.644
Ti11 0.884 0.382 0.646
O1 0.104 0.618 0.865
O2 0.106 0.106 0.786
O3 0.150 0.663 0.429
O4 0.151 0.151 0.422
O5 0.266 0.419 0.826
O6 0.275 0.945 0.827
O7 0.281 0.937 0.398
O8 0.347 0.500 0.468
O9 0.419 0.266 0.826
O10 0.486 0.830 0.895
O11 0.492 0.822 0.468
O12 0.500 0.347 0.468
O13 0.615 0.615 0.873
O14 0.618 0.104 0.865
O15 0.663 0.150 0.429
O16 0.664 0.664 0.508
O17 0.775 0.980 0.899
O18 0.785 0.989 0.392
O19 0.822 0.492 0.468
O20 0.830 0.486 0.895
O21 0.937 0.281 0.398
O22 0.945 0.275 0.827
O23 0.980 0.775 0.899
O24 0.989 0.785 0.392

Most intense lines, 2θ from 10° to 90°, low angle first:
- 2θ 17.28, I 92
- 2θ 17.79, I 100
- 2θ 17.95, I 48
- 2θ 34.09, I 22
- 2θ 34.59, I 33
- 2θ 34.72, I 25
- 2θ 41.23, I 42
- 2θ 41.84, I 82
- 2θ 59.26, I 27
- 2θ 61.13, I 44


# Mg14CuSn
Simulated powder diffraction line list, Cu Kα X-rays. Input: a DFT-relaxed cell (PBE, the Materials Project).
Peak positions follow from Bragg's law for the DFT cell and can differ from measured ones.

Structure:
Unit cell a=10.338 b=6.254 c=6.254 alpha=60.41 beta=90.00 gamma=90.00
Sites, in units of the cell vectors:
Mg1 0.000 0.000 0.000
Mg2 0.000 0.001 0.501
Mg3 0.000 0.500 0.500
Mg4 0.000 0.501 0.001
Mg5 0.248 0.167 0.167
Mg6 0.254 0.665 0.665
Mg7 0.255 0.173 0.664
Mg8 0.255 0.664 0.173
Mg9 0.500 0.000 0.499
Mg10 0.500 0.499 0.000
Mg11 0.745 0.173 0.664
Mg12 0.745 0.664 0.173
Mg13 0.746 0.665 0.665
Mg14 0.752 0.167 0.167
Cu1 0.500 0.500 0.500
Sn1 0.500 0.002 0.002

Most intense lines, 2θ from 10° to 90°, low angle first:
- 2θ 18.51, I 30
- 2θ 23.80, I 17
- 2θ 32.94, I 28
- 2θ 34.71, I 40
- 2θ 37.37, I 100
- 2θ 37.56, I 49
- 2θ 48.60, I 18
- 2θ 59.09, I 16
- 2θ 63.97, I 22
- 2θ 70.38, I 20


# MgMo2WSe4S2
Simulated powder diffraction line list, Cu Kα X-rays. Input: a DFT-relaxed cell (PBE, the Materials Project).
Peak positions follow from Bragg's law for the DFT cell and can differ from measured ones.

Structure:
Unit cell a=3.283 b=3.283 c=36.814 alpha=90.00 beta=90.00 gamma=120.00
Sites, in units of the cell vectors:
Mg1 0.000 0.000 0.000
Mo1 0.333 0.667 0.868
Mo2 0.667 0.333 0.114
W1 0.333 0.667 0.338
Se1 0.667 0.333 0.292
Se2 0.667 0.333 0.385
Se3 0.667 0.333 0.822
Se4 0.667 0.333 0.914
S1 0.333 0.667 0.072
S2 0.333 0.667 0.155

Most intense lines, 2θ from 10° to 90°, low angle first:
- 2θ 12.02, I 67
- 2θ 31.48, I 53
- 2θ 32.97, I 47
- 2θ 34.77, I 52
- 2θ 35.90, I 48
- 2θ 40.07, I 57
- 2θ 41.68, I 100
- 2θ 45.19, I 30
- 2θ 49.03, I 33
- 2θ 56.03, I 45


# Mg6VGa
Simulated powder diffraction line list, Cu Kα X-rays. Input: a DFT-relaxed cell (PBE, the Materials Project).
Peak positions follow from Bragg's law for the DFT cell and can differ from measured ones.

Structure:
Unit cell a=5.007 b=6.034 c=10.826 alpha=90.00 beta=90.00 gamma=90.00
Sites, in units of the cell vectors:
Mg1 0.000 0.000 0.000
Mg2 0.000 0.000 0.497
Mg3 0.000 0.245 0.255
Mg4 0.000 0.255 0.755
Mg5 0.000 0.500 0.500
Mg6 0.000 0.500 0.997
Mg7 0.000 0.745 0.755
Mg8 0.000 0.755 0.255
Mg9 0.500 0.249 0.586
Mg10 0.500 0.251 0.086
Mg11 0.500 0.749 0.086
Mg12 0.500 0.751 0.586
V1 0.500 0.000 0.337
V2 0.500 0.500 0.837
Ga1 0.500 0.000 0.835
Ga2 0.500 0.500 0.335

Most intense lines, 2θ from 10° to 90°, low angle first:
- 2θ 16.38, I 21
- 2θ 17.71, I 16
- 2θ 34.02, I 30
- 2θ 35.87, I 40
- 2θ 37.79, I 54
- 2θ 38.61, I 100
- 2θ 50.27, I 18
- 2θ 59.72, I 17
- 2θ 66.29, I 19
- 2θ 71.65, I 22


Copy entry 3 word for word.
# MgMo2WSe4S2
Simulated powder diffraction line list, Cu Kα X-rays. Input: a DFT-relaxed cell (PBE, the Materials Project).
Peak positions follow from Bragg's law for the DFT cell and can differ from measured ones.

Structure:
Unit cell a=3.283 b=3.283 c=36.814 alpha=90.00 beta=90.00 gamma=120.00
Sites, in units of the cell vectors:
Mg1 0.000 0.000 0.000
Mo1 0.333 0.667 0.868
Mo2 0.667 0.333 0.114
W1 0.333 0.667 0.338
Se1 0.667 0.333 0.292
Se2 0.667 0.333 0.385
Se3 0.667 0.333 0.822
Se4 0.667 0.333 0.914
S1 0.333 0.667 0.072
S2 0.333 0.667 0.155

Most intense lines, 2θ from 10° to 90°, low angle first:
- 2θ 12.02, I 67
- 2θ 31.48, I 53
- 2θ 32.97, I 47
- 2θ 34.77, I 52
- 2θ 35.90, I 48
- 2θ 40.07, I 57
- 2θ 41.68, I 100
- 2θ 45.19, I 30
- 2θ 49.03, I 33
- 2θ 56.03, I 45


What did the second record say?
# Mg14CuSn
Simulated powder diffraction line list, Cu Kα X-rays. Input: a DFT-relaxed cell (PBE, the Materials Project).
Peak positions follow from Bragg's law for the DFT cell and can differ from measured ones.

Structure:
Unit cell a=10.338 b=6.254 c=6.254 alpha=60.41 beta=90.00 gamma=90.00
Sites, in units of the cell vectors:
Mg1 0.000 0.000 0.000
Mg2 0.000 0.001 0.501
Mg3 0.000 0.500 0.500
Mg4 0.000 0.501 0.001
Mg5 0.248 0.167 0.167
Mg6 0.254 0.665 0.665
Mg7 0.255 0.173 0.664
Mg8 0.255 0.664 0.173
Mg9 0.500 0.000 0.499
Mg10 0.500 0.499 0.000
Mg11 0.745 0.173 0.664
Mg12 0.745 0.664 0.173
Mg13 0.746 0.665 0.665
Mg14 0.752 0.167 0.167
Cu1 0.500 0.500 0.500
Sn1 0.500 0.002 0.002

Most intense lines, 2θ from 10° to 90°, low angle first:
- 2θ 18.51, I 30
- 2θ 23.80, I 17
- 2θ 32.94, I 28
- 2θ 34.71, I 40
- 2θ 37.37, I 100
- 2θ 37.56, I 49
- 2θ 48.60, I 18
- 2θ 59.09, I 16
- 2θ 63.97, I 22
- 2θ 70.38, I 20


What is the formula in the first record?
Na4Ti11O24